Diffraction record for La5Pr12Dy2. The powder diffraction line list is theoretical, not measured: it uses a PBE-relaxed structure and CuKα.
Neutral-atom scattering factors, no anomalous dispersion.

Structural model:
```
data_La5Pr12Dy2
_chemical_formula_sum 'La5 Pr12 Dy2'
_cell_length_a 13.9331
_cell_length_b 13.9331
_cell_length_c 13.9331
_cell_angle_alpha 158.14
_cell_angle_beta 135.61
_cell_angle_gamma 50.01
_symmetry_space_group_name_H-M 'P 1'
_symmetry_Int_Tables_number 1
_symmetry_space_group_name_Hall 'P 1'
loop_
_atom_site_label
_atom_site_type_symbol
_atom_site_fract_x
_atom_site_fract_y
_atom_site_fract_z
La1 La 0.0000 0.0000 0.0000
La2 La 0.1987 0.1987 0.0000
La3 La 0.3018 0.8018 0.5000
La4 La 0.6982 0.1982 0.5000
La5 La 0.8013 0.8013 0.0000
Pr1 Pr 0.0585 0.3037 0.7548
Pr2 Pr 0.0994 0.5994 0.5000
Pr3 Pr 0.1634 0.9059 0.2575
Pr4 Pr 0.3516 0.0941 0.2575
Pr5 Pr 0.4071 0.4071 0.0000
Pr6 Pr 0.4512 0.6963 0.7548
Pr7 Pr 0.5488 0.3037 0.2452
Pr8 Pr 0.5929 0.5929 0.0000
Pr9 Pr 0.6484 0.9059 0.7425
Pr10 Pr 0.8366 0.0941 0.7425
Pr11 Pr 0.9006 0.4006 0.5000
Pr12 Pr 0.9415 0.6963 0.2452
Dy1 Dy 0.2287 0.5000 0.7287
Dy2 Dy 0.7713 0.5000 0.2713
```

The 10 most intense peaks (5 to 70 degrees two-theta), sorted by position:
d 3.000, 2θ = 29.8°, I = 100
d 2.642, 2θ = 33.9°, I = 18
d 2.632, 2θ = 34.1°, I = 17
d 2.525, 2θ = 35.5°, I = 15
d 1.865, 2θ = 48.8°, I = 12
d 1.826, 2θ = 50.0°, I = 11
d 1.586, 2θ = 58.2°, I = 15
d 1.581, 2θ = 58.4°, I = 14
d 1.535, 2θ = 60.3°, I = 12
d 1.500, 2θ = 61.9°, I = 11